# 1
The following is a theoretical X-ray diffraction stick pattern of La2Nd4Sm3. It was derived from a PBE-relaxed structure, using Cu Kα, 1.54184 Å.
Neutral-atom scattering factors, no anomalous dispersion.

Cell and atoms:
Lattice parameters (Å, degrees): 3.6727 3.6727 27.4788 90.00 90.00 120.00
Space group P3m1 (No. 156)
Unique sites:
La (0.0000, 0.0000, 0.0000) (multiplicity 1)
La (0.0000, 0.0000, 0.2188) (multiplicity 1)
Nd (0.0000, 0.0000, 0.3468) (multiplicity 1)
Nd (0.0000, 0.0000, 0.5620) (multiplicity 1)
Nd (0.3333, 0.6667, 0.6712) (multiplicity 1)
Nd (0.3333, 0.6667, 0.8877) (multiplicity 1)
Sm (0.0000, 0.0000, 0.7801) (multiplicity 1)
Sm (0.3333, 0.6667, 0.1116) (multiplicity 1)
Sm (0.3333, 0.6667, 0.4514) (multiplicity 1)

Peak list (10 most intense, 10 to 80 degrees two-theta, low angle first)
Position (°2θ)	intensity	(hkl)
28.05	46	1 0 0
29.25	50	0 0 9
30.98	65	0 1 4
32.53	100	0 1 5
40.97	31	1 0 9
49.65	37	1 1 0
54.97	31	0 1 14
58.67	42	1 1 9
60.63	23	0 0 18
77.20	11	2 0 14

***

# 2
The following is a theoretical X-ray diffraction stick pattern of La3Nd4Sm4. It was derived from a PBE-relaxed structure, using Cu Kα, 1.54184 Å.
Neutral-atom scattering factors, no anomalous dispersion.

Cell and atoms:
Lattice parameters (Å, degrees): 19.385 11.521 3.644 90.00 100.68 90.00
Space group C2/m (No. 12)
Unique sites:
La (0.000, 0.000, 0.000) (multiplicity 2)
La (0.103, 0.500, 0.104) (multiplicity 4)
Nd (0.169, 0.238, 0.670) (multiplicity 8)
Sm (0.000, 0.287, 0.500) (multiplicity 4)
Sm (0.225, 0.000, 0.226) (multiplicity 4)

Peak list (10 most intense, 10 to 80 degrees two-theta, low angle first)
Position (°2θ)	intensity	(hkl)
24.61	29	5 1 0
29.38	100	2 2 -1
31.05	50	0 4 0
31.89	45	3 1 1
32.20	58	6 2 0
33.12	22	5 3 0
35.24	16	3 3 -1
37.56	26	4 2 1
50.07	16	2 0 -2
50.64	24	3 5 1

***

# 3
The following is a theoretical X-ray diffraction stick pattern of La2Nd3Sm. It was derived from a PBE-relaxed structure, using Cu Kα, 1.54184 Å.
Neutral-atom scattering factors, no anomalous dispersion.

Cell and atoms:
Lattice parameters (Å, degrees): 7.153 10.117 5.869 90.00 90.00 90.00
Space group Pnnm (No. 58)
Unique sites:
La (0.250, 0.167, 0.000) (multiplicity 4)
Nd (0.000, 0.000, 0.500) (multiplicity 2)
Nd (0.250, 0.332, 0.500) (multiplicity 4)
Sm (0.000, 0.500, 0.000) (multiplicity 2)

Peak list (10 most intense, 10 to 80 degrees two-theta, low angle first)
Position (°2θ)	intensity	(hkl)
30.46	21	0 0 2
30.58	100	0 3 1
39.79	6	2 3 1
43.73	15	2 2 2
43.84	7	2 4 0
54.20	16	0 3 3
54.37	19	0 6 0
60.69	19	4 3 1
63.65	5	0 6 2
77.69	6	4 3 3

***

# 4
The following is a theoretical X-ray diffraction stick pattern of La5Nd12Sm. It was derived from a PBE-relaxed structure, using Cu Kα, 1.54184 Å.
Neutral-atom scattering factors, no anomalous dispersion.

Cell and atoms:
Lattice parameters (Å, degrees): 15.664 15.673 5.238 90.00 90.00 90.00
Space group Cmmm (No. 65)
Unique sites:
La (0.000, 0.000, 0.000) (multiplicity 2)
La (0.166, 0.500, 0.000) (multiplicity 4)
La (0.167, 0.000, 0.500) (multiplicity 4)
Nd (0.000, 0.168, 0.500) (multiplicity 4)
Nd (0.000, 0.333, 0.000) (multiplicity 4)
Nd (0.166, 0.333, 0.500) (multiplicity 8)
Nd (0.167, 0.168, 0.000) (multiplicity 8)
Sm (0.000, 0.500, 0.500) (multiplicity 2)

Peak list (10 most intense, 10 to 80 degrees two-theta, low angle first)
Position (°2θ)	intensity	(hkl)
29.60	100	3 3 1
34.28	34	0 6 0
34.35	17	6 0 0
49.30	36	6 6 0
58.47	15	3 3 3
58.61	29	9 3 1
61.44	13	6 6 2
72.13	2	0 0 4
72.37	4	12 0 0
79.96	12	9 3 3

***

# 5
The following is a theoretical X-ray diffraction stick pattern of La3Nd4Sm2. It was derived from a PBE-relaxed structure, using Cu Kα, 1.54184 Å.
Neutral-atom scattering factors, no anomalous dispersion.

Cell and atoms:
Lattice parameters (Å, degrees): 11.897 5.909 9.370 90.00 102.68 90.00
Space group C2/m (No. 12)
Unique sites:
La (0.000, 0.000, 0.000) (multiplicity 2)
La (0.117, 0.000, 0.685) (multiplicity 4)
Nd (0.180, 0.500, 0.958) (multiplicity 4)
Nd (0.230, 0.000, 0.372) (multiplicity 4)
Sm (0.065, 0.500, 0.300) (multiplicity 4)

Peak list (10 most intense, 10 to 80 degrees two-theta, low angle first)
Position (°2θ)	intensity	(hkl)
29.31	40	0 0 3
30.25	57	0 2 0
30.78	83	3 1 -2
30.96	100	3 1 1
32.45	17	1 1 -3
42.62	29	0 2 3
45.76	19	6 0 -1
54.07	17	3 3 -2
54.18	21	3 3 1
55.84	21	6 2 -1

***

# 6
The following is a theoretical X-ray diffraction stick pattern of La2Nd9Sm. It was derived from a PBE-relaxed structure, using Cu Kα, 1.54184 Å.
Neutral-atom scattering factors, no anomalous dispersion.

Cell and atoms:
Lattice parameters (Å, degrees): 5.215 5.215 15.641 90.00 90.00 90.00
Space group P4/mmm (No. 123)
Unique sites:
La (0.000, 0.000, 0.167) (multiplicity 2)
Nd (0.000, 0.500, 0.000) (multiplicity 2)
Nd (0.000, 0.500, 0.335) (multiplicity 4)
Nd (0.500, 0.500, 0.168) (multiplicity 2)
Nd (0.500, 0.500, 0.500) (multiplicity 1)
Sm (0.000, 0.000, 0.500) (multiplicity 1)

Peak list (6 most intense, 10 to 80 degrees two-theta, low angle first)
Position (°2θ)	intensity	(hkl)
29.67	100	1 1 3
34.40	51	2 0 0
49.43	36	2 2 0
58.72	43	3 1 3
61.61	12	2 2 6
72.50	6	4 0 0

***

# 7
The following is a theoretical X-ray diffraction stick pattern of La6NdSm5. It was derived from a PBE-relaxed structure, using Cu Kα, 1.54184 Å.
Neutral-atom scattering factors, no anomalous dispersion.

Cell and atoms:
Lattice parameters (Å, degrees): 5.250 15.809 10.262 90.00 90.12 90.00
Space group C2/m (No. 12)
Unique sites:
La (0.000, 0.000, 0.249) (multiplicity 4)
La (0.000, 0.333, 0.250) (multiplicity 8)
Nd (0.000, 0.500, 0.500) (multiplicity 2)
Sm (0.000, 0.167, 0.000) (multiplicity 4)
Sm (0.000, 0.167, 0.500) (multiplicity 4)
Sm (0.000, 0.500, 0.000) (multiplicity 2)

Peak list (10 most intense, 10 to 80 degrees two-theta, low angle first)
Position (°2θ)	intensity	(hkl)
29.67	100	1 3 2
34.03	17	0 6 0
34.16	17	2 0 0
34.97	16	0 0 4
48.98	12	2 6 0
49.61	18	0 6 4
58.23	15	1 9 2
58.40	15	3 3 2
59.49	14	1 3 6
61.60	12	2 6 4

***

# 8
The following is a theoretical X-ray diffraction stick pattern of La2Nd2Sm. It was derived from a PBE-relaxed structure, using Cu Kα, 1.54184 Å.
Neutral-atom scattering factors, no anomalous dispersion.

Cell and atoms:
Lattice parameters (Å, degrees): 26.306 3.700 7.406 90.00 98.07 90.00
Space group C2/m (No. 12)
Unique sites:
La (0.001, 0.000, 0.253) (multiplicity 4)
La (0.200, 0.000, 0.849) (multiplicity 4)
Nd (0.100, 0.500, 0.050) (multiplicity 4)
Nd (0.199, 0.000, 0.350) (multiplicity 4)
Sm (0.100, 0.500, 0.550) (multiplicity 4)

Peak list (10 most intense, 10 to 80 degrees two-theta, low angle first)
Position (°2θ)	intensity	(hkl)
29.61	100	5 1 0
34.26	34	1 1 -2
34.43	17	10 0 0
49.24	12	0 2 0
49.36	24	9 1 2
58.51	29	4 2 2
58.73	14	15 1 0
61.46	12	10 2 0
72.19	4	2 2 -4
79.92	4	5 3 0